Pb3Au4: theoretical powder X-ray diffraction pattern (Cu Kα, 1.54184 Å), based on a cell relaxed with GGA-PBE.
Peak positions follow from Bragg's law for the DFT cell and can differ from measured ones.

Principal peaks in the range 2θ from 10° to 80°, in order of rising 2θ:
- 34.8°, rel. 100
- 35.4°, rel. 70
- 40.2°, rel. 24
- 50.9°, rel. 25
- 63.1°, rel. 37
- 68.9°, rel. 14

Cell and atoms:
Lattice parameters (Å, degrees): 13.1772 13.1772 13.1772 164.34 164.34 22.21
Positions (direct):
Pb: 0.0000 0.0000 0.0000
Pb: 0.3062 0.3062 0.0000
Pb: 0.6938 0.6938 0.0000
Au: 0.1280 0.1280 0.0000
Au: 0.4283 0.4283 0.0000
Au: 0.5717 0.5717 0.0000
Au: 0.8720 0.8720 0.0000